# 1
Diffraction record for K5GeS4. The powder diffraction line list is theoretical, not measured: it uses a crystal structure in Alexandria, relaxed with PBE and CuKα.
Kinematic intensities with the Lorentz-polarization factor, no thermal factor.

Structure:
Lattice parameters (Å, degrees): 9.384 9.826 7.462 90.00 90.00 90.00
Element x y z (fractional)
K (0.008, 0.055, 0.238)
K (0.008, 0.445, 0.238)
K (0.250, 0.750, 0.339)
K (0.492, 0.055, 0.238)
K (0.492, 0.445, 0.238)
K (0.508, 0.555, 0.762)
K (0.508, 0.945, 0.762)
K (0.750, 0.250, 0.661)
K (0.992, 0.555, 0.762)
K (0.992, 0.945, 0.762)
Ge (0.250, 0.250, 0.716)
Ge (0.750, 0.750, 0.284)
S (0.033, 0.250, 0.894)
S (0.250, 0.044, 0.534)
S (0.250, 0.456, 0.534)
S (0.467, 0.250, 0.894)
S (0.533, 0.750, 0.106)
S (0.750, 0.544, 0.466)
S (0.750, 0.956, 0.466)
S (0.967, 0.750, 0.106)

The 10 most intense peaks (15 to 90 degrees two-theta), in order of rising 2θ:
- 2θ 22.4, I 65, (2 0 1)
- 2θ 23.9, I 29, (0 0 2)
- 2θ 24.2, I 63, (2 1 1)
- 2θ 26.3, I 23, (2 2 0)
- 2θ 29.8, I 87, (0 3 1)
- 2θ 32.0, I 29, (2 1 2)
- 2θ 35.8, I 100, (2 2 2)
- 2θ 38.4, I 40, (4 0 0)
- 2θ 49.3, I 33, (4 3 1)
- 2θ 51.9, I 24, (2 5 1)


# 2
Diffraction record for RePIrPt. The powder diffraction line list is theoretical, not measured: it uses a crystal structure in Alexandria, relaxed with PBE and CuKα.
Kinematic intensities with the Lorentz-polarization factor, no thermal factor.

Structure:
Lattice parameters (Å, degrees): 3.988 3.832 4.763 90.00 109.99 90.00
Element x y z (fractional)
Re (0.000, 0.000, 0.000)
P (0.148, 0.500, 0.334)
Ir (0.319, 0.000, 0.624)
Pt (0.538, 0.500, 0.063)

The 10 most intense peaks (15 to 90 degrees two-theta), in order of rising 2θ:
- 2θ 19.8, I 55, (0 0 1)
- 2θ 30.7, I 57, (0 1 1)
- 2θ 33.4, I 75, (1 1 0)
- 2θ 34.6, I 75, (1 1 -1)
- 2θ 40.3, I 38, (0 0 2)
- 2θ 43.4, I 100, (1 1 1)
- 2θ 45.6, I 51, (2 0 -1)
- 2θ 46.1, I 84, (1 1 -2)
- 2θ 47.5, I 46, (0 2 0)
- 2θ 68.0, I 31, (2 2 -1)